Starting from DFT lattice parameters and positions (PBE), the powder diffractogram of Na6Bi2C4SO16 was simulated for CuKα.
Peak positions follow from Bragg's law for the DFT cell and can differ from measured ones.

Largest 10 diffraction maxima, low angle first, 10 to 90 degrees two-theta:
- hkl 1 1 1, 2θ 10.52, rel. 48.6
- hkl 3 1 1, 2θ 20.22, rel. 100.0
- hkl 2 2 2, 2θ 21.13, rel. 43.7
- hkl 4 0 0, 2θ 24.45, rel. 35.4
- hkl 5 1 1, 2θ 31.93, rel. 53.9
- hkl 4 4 0, 2θ 34.85, rel. 69.8
- hkl 5 3 1, 2θ 36.50, rel. 35.6
- hkl 6 2 2, 2θ 41.11, rel. 44.8
- hkl 5 5 3, 2θ 47.98, rel. 25.6
- hkl 5 5 5, 2θ 54.57, rel. 25.5

Lattice parameters (Å, degrees): 14.5648 14.5648 14.5648 90.00 90.00 90.00
Space group Fd-3 (No. 203, origin choice 2)
Inequivalent atoms, fractional coordinates:
Na1 0.0794 0.3750 0.3750 [48 per cell]
Bi1 0.0000 0.0000 0.5000 [16 per cell]
C1 0.0168 0.0168 0.7332 [32 per cell]
S1 0.1250 0.1250 0.1250 [8 per cell]
O1 0.0155 0.2955 0.5813 [96 per cell]
O2 0.0657 0.0657 0.0657 [32 per cell]